BaSb6: computed powder diffractogram (Cu Kα X-rays), based on a GGA-PBE-relaxed structure.
Kinematic intensities with the Lorentz-polarization factor, no thermal factor.

Atomic structure:
a b c (Å): 8.445 8.445 8.445
angles (deg): 90.00 90.00 90.00
Space group Im-3m (No. 229)
Asymmetric unit:
Ba: 0.000 0.000 0.000 [2 per cell]
Sb: 0.000 0.250 0.500 [12 per cell]

Most intense lines, 2θ from 10° to 80°, by angle:
d (Å), 2θ/deg, intensity, index
5.971, 14.84, 16, 1 1 0
4.222, 21.04, 41, 2 0 0
3.448, 25.84, 100, 2 1 1
2.438, 36.87, 33, 2 2 2
2.257, 39.95, 62, 3 2 1
2.111, 42.83, 34, 4 0 0
1.888, 48.19, 18, 4 2 0
1.542, 60.00, 19, 5 2 1
1.493, 62.18, 22, 4 4 0
1.370, 68.49, 19, 6 1 1



Mg4IrPt3: computed powder diffractogram (Cu Kα X-rays), based on a GGA-PBE-relaxed structure.
Kinematic intensities with the Lorentz-polarization factor, no thermal factor.

Atomic structure:
a b c (Å): 3.199 3.199 12.250
angles (deg): 90.00 90.00 90.00
Space group P4/mmm (No. 123)
Asymmetric unit:
Mg: 0.000 0.000 0.120 [2 per cell]
Mg: 0.000 0.000 0.374 [2 per cell]
Ir: 0.500 0.500 0.000 [1 per cell]
Pt: 0.500 0.500 0.249 [2 per cell]
Pt: 0.500 0.500 0.500 [1 per cell]

Most intense lines, 2θ from 10° to 80°, by angle:
d (Å), 2θ/deg, intensity, index
3.199, 27.89, 79, 1 0 0
3.062, 29.16, 35, 0 0 4
2.262, 39.86, 53, 1 1 0
2.212, 40.79, 100, 1 0 4
1.819, 50.14, 33, 1 1 4
1.599, 57.64, 18, 2 0 0
1.430, 65.22, 15, 2 1 0
1.418, 65.89, 15, 2 0 4
1.296, 73.00, 36, 2 1 4
1.268, 74.89, 17, 1 1 8